(1)
Diffraction record for Ag3BO3. The XRD peak list is theoretical, not measured: it uses a structure optimized by DFT (PBE) and Cu Kα, 1.54184 Å.
Kinematic intensities with the Lorentz-polarization factor, no thermal factor.

Crystal structure
Cell: 9.9280 9.9280 14.2281 Å, 90.00 90.00 120.00°
Space group R-3c (No. 167, hexagonal axes)
One atom of each set of equivalent atoms:
1 Ag 0.0011 0.4980 0.1245 (multiplicity 36)
2 B 0.0000 0.0000 0.1246 (multiplicity 12)
3 O 0.0043 0.1419 0.1243 (multiplicity 36)

Main lines, low angle first (10 to 90 degrees two-theta):
- (1 1 0), 2θ = 17.87°, I 23.5
- (0 2 4), 2θ = 32.68°, I 100.0
- (2 2 0), 2θ = 36.19°, I 62.2
- (4 0 4), 2θ = 49.55°, I 25.6
- (2 0 8), 2θ = 55.95°, I 19.8
- (2 4 4), 2θ = 62.88°, I 24.7

***

(2)
Diffraction record for Ag3BO3. The XRD peak list is theoretical, not measured: it uses a structure optimized by DFT (PBE) and Cu Kα, 1.54184 Å.
Kinematic intensities with the Lorentz-polarization factor, no thermal factor.

Crystal structure
Cell: 10.1459 10.1459 3.3284 Å, 90.00 90.00 120.00°
Space group R32 (No. 155, hexagonal axes)
One atom of each set of equivalent atoms:
1 Ag 0.0000 0.5102 0.0000 (multiplicity 9)
2 B 0.0000 0.0000 0.0000 (multiplicity 3)
3 O 0.0000 0.1364 0.0000 (multiplicity 9)

Main lines, low angle first (10 to 90 degrees two-theta):
- (1 1 0), 2θ = 17.48°, I 28.0
- (0 2 1), 2θ = 33.79°, I 100.0
- (2 2 0), 2θ = 35.39°, I 71.8
- (4 0 1), 2θ = 49.73°, I 26.5
- (2 0 2), 2θ = 59.39°, I 19.1
- (2 4 1), 2θ = 62.50°, I 29.0

***

(3)
Diffraction record for Pm3AgB4O12. The XRD peak list is theoretical, not measured: it uses a structure optimized by DFT (PBE) and Cu Kα, 1.54184 Å.
Kinematic intensities with the Lorentz-polarization factor, no thermal factor.

Crystal structure
Cell: 10.4313 10.4313 8.7835 Å, 90.00 90.00 120.00°
Space group R32 (No. 155, hexagonal axes)
One atom of each set of equivalent atoms:
1 Pm 0.0000 0.5279 0.0000 (multiplicity 9)
2 Ag 0.0000 0.0000 0.0000 (multiplicity 3)
3 B 0.0000 0.0000 0.5000 (multiplicity 3)
4 B 0.0000 0.4745 0.5000 (multiplicity 9)
5 O 0.0000 0.6057 0.5000 (multiplicity 9)
6 O 0.0000 0.8674 0.5000 (multiplicity 9)
7 O 0.0079 0.2021 0.8282 (multiplicity 18)

Main lines, low angle first (10 to 90 degrees two-theta):
- (0 2 1), 2θ = 22.13°, I 90.9
- (2 0 2), 2θ = 28.34°, I 100.0
- (2 2 0), 2θ = 34.39°, I 33.0
- (4 0 1), 2θ = 41.27°, I 24.0
- (0 2 4), 2θ = 45.96°, I 28.1
- (2 2 3), 2θ = 46.64°, I 37.6

***

(4)
Diffraction record for SiAg2B2O6. The XRD peak list is theoretical, not measured: it uses a structure optimized by DFT (PBE) and Cu Kα, 1.54184 Å.
Kinematic intensities with the Lorentz-polarization factor, no thermal factor.

Crystal structure
Cell: 8.3156 4.9094 6.2943 Å, 90.00 115.53 90.00°
Space group C2/m (No. 12)
One atom of each set of equivalent atoms:
1 Si 0.0000 0.0000 0.0000 (multiplicity 2)
2 Ag 0.1938 0.0000 0.5972 (multiplicity 4)
3 B 0.0927 0.5000 0.8266 (multiplicity 4)
4 O 0.0055 0.2583 0.2090 (multiplicity 8)
5 O 0.2351 0.0000 0.1354 (multiplicity 4)

Main lines, low angle first (10 to 90 degrees two-theta):
- (0 0 1), 2θ = 15.60°, I 26.2
- (1 1 0), 2θ = 21.63°, I 20.9
- (1 1 -1), 2θ = 23.54°, I 31.8
- (1 1 -2), 2θ = 33.86°, I 100.0
- (3 1 -1), 2θ = 37.25°, I 34.1
- (2 2 0), 2θ = 44.09°, I 19.6

***

(5)
Diffraction record for TaAgBO5. The XRD peak list is theoretical, not measured: it uses a structure optimized by DFT (PBE) and Cu Kα, 1.54184 Å.
Kinematic intensities with the Lorentz-polarization factor, no thermal factor.

Crystal structure
Cell: 6.3577 8.4745 7.4008 Å, 90.00 114.37 90.00°
Space group C2/c (No. 15)
One atom of each set of equivalent atoms:
1 Ta 0.2500 0.2500 0.0000 (multiplicity 4)
2 Ag 0.0000 0.0808 0.2500 (multiplicity 4)
3 B 0.0000 0.4364 0.2500 (multiplicity 4)
4 O 0.0000 0.1705 0.7500 (multiplicity 4)
5 O 0.0305 0.3332 0.1031 (multiplicity 8)
6 O 0.2078 0.4566 0.8541 (multiplicity 8)

Main lines, low angle first (10 to 90 degrees two-theta):
- (1 1 -1), 2θ = 18.74°, I 60.3
- (1 1 1), 2θ = 26.27°, I 100.0
- (2 0 -2), 2θ = 31.34°, I 48.3
- (0 2 2), 2θ = 33.99°, I 50.8
- (1 3 -1), 2θ = 35.46°, I 58.7
- (1 1 -3), 2θ = 38.00°, I 28.5

***

(6)
Diffraction record for Tl2AgB2O6. The XRD peak list is theoretical, not measured: it uses a structure optimized by DFT (PBE) and Cu Kα, 1.54184 Å.
Kinematic intensities with the Lorentz-polarization factor, no thermal factor.

Crystal structure
Cell: 5.0009 5.4925 6.5242 Å, 94.57 109.71 111.46°
Space group P-1 (No. 2)
One atom of each set of equivalent atoms:
1 Tl 0.0992 0.3384 0.2389 (multiplicity 2)
2 Ag 0.5000 0.0000 0.5000 (multiplicity 1)
3 B 0.2153 0.2713 0.7493 (multiplicity 2)
4 O 0.0172 0.2989 0.8496 (multiplicity 2)
5 O 0.2677 0.0419 0.7353 (multiplicity 2)
6 O 0.3475 0.4781 0.6544 (multiplicity 2)

Main lines, low angle first (10 to 90 degrees two-theta):
- (1 0 -1), 2θ = 20.21°, I 100.0
- (0 1 1), 2θ = 25.83°, I 86.2
- (1 -1 1), 2θ = 28.09°, I 99.8
- (1 1 0), 2θ = 32.85°, I 77.3
- (1 -2 0), 2θ = 33.24°, I 89.4
- (0 2 -1), 2θ = 35.76°, I 61.4